Record 1
For SrTlPS4, a DFT-relaxed cell (GGA-PBE, the Materials Project) gives the theoretical powder X-ray diffraction pattern in this record (Cu Kα (λ = 1.5418 Å)).
Intensities are scaled so that the largest is 1000.

Top 10 peaks for 15° ≤ 2θ ≤ 90°, in order of falling intensity:
(hkl)	Position (°2θ)	I_rel
2 1 0	19.16	1000
3 0 2	29.06	925
0 2 0	26.73	839
1 1 2	25.21	823
1 2 2	34.46	738
3 1 2	32.07	683
4 2 0	38.89	526
2 0 1	17.06	418
2 1 4	45.63	362
4 2 4	57.80	312

Cell and atoms:
Cell: 12.8768 6.6665 8.8032 Å, 90.00 90.00 90.00°
Space group Pnma (No. 62)
Inequivalent atoms, fractional coordinates:
Sr1 0.1354 0.2500 0.1076 [4 per cell]
Tl1 0.1112 0.2500 0.6212 [4 per cell]
P1 0.1474 0.7500 0.8718 [4 per cell]
S1 0.0505 0.7500 0.6877 [4 per cell]
S2 0.0683 0.7500 0.0739 [4 per cell]
S3 0.2448 0.5045 0.8606 [8 per cell]


Record 2
For SrUP2S8, a DFT-relaxed cell (GGA-PBE, the Materials Project) gives the theoretical powder X-ray diffraction pattern in this record (Cu Kα (λ = 1.5418 Å)).
Intensities are scaled so that the largest is 1000.

Top 10 peaks for 15° ≤ 2θ ≤ 90°, in order of falling intensity:
(hkl)	Position (°2θ)	I_rel
2 0 0	15.74	1000
2 0 2	24.31	630
2 2 2	29.09	514
4 2 2	40.41	510
4 0 2	36.97	466
4 2 0	35.65	353
2 0 4	40.74	225
6 2 2	54.97	206
1 1 2	21.56	187
4 0 0	31.78	177

Cell and atoms:
Cell: 11.2635 11.2635 9.6364 Å, 90.00 90.00 90.00°
Space group P4_2/mbc (No. 135)
Inequivalent atoms, fractional coordinates:
Sr1 0.0000 0.5000 0.2500 [4 per cell]
U1 0.0000 0.0000 0.2500 [4 per cell]
P1 0.0358 0.2368 0.0000 [8 per cell]
S1 0.0675 0.7724 0.1763 [16 per cell]
S2 0.0796 0.8681 0.5000 [8 per cell]
S3 0.1127 0.3675 0.5000 [8 per cell]